Structure and simulated X-ray powder pattern of InAg5Hg2 (the PBE geometry in Alexandria; copper Kα).
Peak positions follow from Bragg's law for the DFT cell and can differ from measured ones.

```
data_InAg5Hg2
_space_group_name_H-M_alt 'P b a m'
_space_group_IT_number 55
_space_group_name_Hall '-P 2 2ab'
_cell_length_a 9.645
_cell_length_b 9.736
_cell_length_c 6.768
_cell_angle_alpha 90.00
_cell_angle_beta 90.00
_cell_angle_gamma 90.00
loop_
_atom_site_label
_atom_site_fract_x
_atom_site_fract_y
_atom_site_fract_z
_atom_site_occupancy
In1 0.241 0.061 0.000 1
Ag1 0.000 0.000 0.242 1
Ag2 0.008 0.750 0.000 1
Ag3 0.010 0.754 0.500 1
Ag4 0.246 0.311 0.248 1
Hg1 0.000 0.500 0.256 1
Hg2 0.234 0.063 0.500 1
```

Most intense lines, 2θ from 10° to 90°, low angle first:
| hkl | 2θ/deg | I/Imax |
| --- | --- | --- |
| 1 2 2 | 33.56 | 17 |
| 4 0 0 | 37.33 | 100 |
| 1 4 0 | 38.13 | 12 |
| 2 4 0 | 41.56 | 9 |
| 3 2 2 | 43.02 | 8 |
| 0 0 4 | 54.21 | 9 |
| 0 6 2 | 63.59 | 7 |
| 6 2 2 | 67.29 | 12 |
| 4 0 4 | 67.64 | 8 |
| 4 6 2 | 76.09 | 8 |


Structure and simulated X-ray powder pattern of Na3Tl3OsO8 (the PBE geometry in Alexandria; copper Kα).
Peak positions follow from Bragg's law for the DFT cell and can differ from measured ones.

```
data_Na3Tl3OsO8
_space_group_name_H-M_alt 'C 1 2/m 1'
_space_group_IT_number 12
_space_group_name_Hall '-C 2y'
_cell_length_a 11.757
_cell_length_b 6.920
_cell_length_c 6.819
_cell_angle_alpha 90.00
_cell_angle_beta 124.22
_cell_angle_gamma 90.00
loop_
_atom_site_label
_atom_site_fract_x
_atom_site_fract_y
_atom_site_fract_z
_atom_site_occupancy
Na1 0.000 0.000 0.000 1
Na2 0.250 0.250 0.500 1
Tl1 0.000 0.500 0.500 1
Tl2 0.250 0.250 0.000 1
Os1 0.000 0.000 0.500 1
O1 0.001 0.202 0.701 1
O2 0.201 0.000 0.703 1
O3 0.244 0.500 0.757 1
```

Most intense lines, 2θ from 10° to 90°, low angle first:
| hkl | 2θ/deg | I/Imax |
| --- | --- | --- |
| 2 0 -1 | 16.04 | 100 |
| 2 0 1 | 30.30 | 58 |
| 2 2 0 | 31.74 | 57 |
| 4 0 0 | 37.01 | 65 |
| 4 2 -1 | 40.57 | 24 |
| 6 0 -1 | 49.02 | 19 |
| 2 2 2 | 52.90 | 22 |
| 6 2 -2 | 53.77 | 21 |
| 0 2 3 | 55.65 | 24 |
| 6 2 0 | 63.42 | 19 |